# 1
For CdSb2Pd8, the PBE geometry in Alexandria gives the calculated X-ray powder pattern in this record (a wavelength of 1.5418 Å).
Intensities are scaled so that the largest is 100.

Structure:
```
data_CdSb2Pd8
_chemical_formula_sum 'Cd2 Sb4 Pd16'
_cell_length_a 14.811
_cell_length_b 4.138
_cell_length_c 6.547
_cell_angle_alpha 90.00
_cell_angle_beta 110.85
_cell_angle_gamma 90.00
_space_group_name_H-M_alt 'C 1 2/m 1'
_space_group_IT_number 12
_space_group_name_Hall '-C 2y'
loop_
_atom_site_label
_atom_site_fract_x
_atom_site_fract_y
_atom_site_fract_z
_atom_site_occupancy
Cd1 0.000 0.000 0.000 1
Sb1 0.202 0.500 0.669 1
Pd1 0.036 0.500 0.737 1
Pd2 0.090 0.000 0.461 1
Pd3 0.155 0.500 0.225 1
Pd4 0.176 0.000 0.926 1
```

Principal peaks in the range 2θ from 15° to 90°, in order of rising 2θ:
2θ 37.5, I 90, hkl 5 1 -1
2θ 39.0, I 100, hkl 1 1 2
2θ 41.5, I 10, hkl 5 1 -2
2θ 42.7, I 27, hkl 4 0 -3
2θ 43.8, I 37, hkl 0 2 0
2θ 46.8, I 23, hkl 6 0 1
2θ 62.8, I 17, hkl 4 2 -3
2θ 66.0, I 16, hkl 6 2 1
2θ 76.2, I 11, hkl 5 3 -1
2θ 77.2, I 12, hkl 1 3 2
2θ 82.5, I 7, hkl 7 1 3
2θ 83.7, I 8, hkl 2 2 4

=====

# 2
For Cd5Sb2Pd12, the PBE geometry in Alexandria gives the calculated X-ray powder pattern in this record (a wavelength of 1.5418 Å).
Intensities are scaled so that the largest is 100.

Structure:
```
data_Cd5Sb2Pd12
_chemical_formula_sum 'Cd10 Sb4 Pd24'
_cell_length_a 12.987
_cell_length_b 8.737
_cell_length_c 5.900
_cell_angle_alpha 90.00
_cell_angle_beta 93.96
_cell_angle_gamma 90.00
_space_group_name_H-M_alt 'C 1 2/m 1'
_space_group_IT_number 12
_space_group_name_Hall '-C 2y'
loop_
_atom_site_label
_atom_site_fract_x
_atom_site_fract_y
_atom_site_fract_z
_atom_site_occupancy
Cd1 0.000 0.000 0.000 1
Cd2 0.182 0.500 0.418 1
Cd3 0.239 0.000 0.035 1
Sb1 0.000 0.249 0.500 1
Pd1 0.044 0.500 0.773 1
Pd2 0.101 0.272 0.114 1
Pd3 0.112 0.000 0.414 1
Pd4 0.192 0.245 0.705 1
```

Principal peaks in the range 2θ from 15° to 90°, in order of rising 2θ:
2θ 32.4, I 7, hkl 1 1 -2
2θ 38.4, I 11, hkl 5 1 -1
2θ 38.6, I 100, hkl 4 2 1
2θ 39.6, I 5, hkl 3 1 2
2θ 41.3, I 26, hkl 0 4 0
2θ 43.6, I 11, hkl 6 0 -1
2θ 49.5, I 11, hkl 2 0 3
2θ 61.7, I 7, hkl 6 4 -1
2θ 66.4, I 8, hkl 2 4 3
2θ 73.6, I 13, hkl 4 6 1
2θ 82.9, I 5, hkl 4 4 -4
2θ 85.4, I 5, hkl 0 2 5

=====

# 3
For Cd3SbPd3, the PBE geometry in Alexandria gives the calculated X-ray powder pattern in this record (a wavelength of 1.5418 Å).
Intensities are scaled so that the largest is 100.

Structure:
```
data_Cd3SbPd3
_chemical_formula_sum 'Cd9 Sb3 Pd9'
_cell_length_a 9.1271
_cell_length_b 9.1271
_cell_length_c 5.7622
_cell_angle_alpha 90.00
_cell_angle_beta 90.00
_cell_angle_gamma 120.00
_space_group_name_H-M_alt 'R -3 m'
_space_group_IT_number 166
_space_group_name_Hall '-R 3 2"'
loop_
_atom_site_label
_atom_site_fract_x
_atom_site_fract_y
_atom_site_fract_z
_atom_site_occupancy
Cd1 0.0000 0.5000 0.0000 1
Sb1 0.0000 0.0000 0.0000 1
Pd1 0.0000 0.5000 0.5000 1
```

Principal peaks in the range 2θ from 15° to 90°, in order of rising 2θ:
2θ 19.1, I 13, hkl 1 0 1
2θ 19.5, I 10, hkl 1 1 0
2θ 27.4, I 8, hkl 0 2 1
2θ 33.8, I 6, hkl 2 1 1
2θ 38.7, I 100, hkl 2 0 2
2θ 39.5, I 94, hkl 2 2 0
2θ 56.5, I 32, hkl 0 4 2
2θ 69.4, I 17, hkl 0 2 4
2θ 71.1, I 32, hkl 4 2 2
2θ 71.6, I 15, hkl 6 0 0
2θ 82.9, I 10, hkl 4 0 4
2θ 85.0, I 10, hkl 4 4 0

=====

# 4
For CdSbPd2, the PBE geometry in Alexandria gives the calculated X-ray powder pattern in this record (a wavelength of 1.5418 Å).
Intensities are scaled so that the largest is 100.

Structure:
```
data_CdSbPd2
_chemical_formula_sum 'Cd4 Sb4 Pd8'
_cell_length_a 8.034
_cell_length_b 7.232
_cell_length_c 5.714
_cell_angle_alpha 90.00
_cell_angle_beta 90.00
_cell_angle_gamma 90.00
_space_group_name_H-M_alt 'P b c m'
_space_group_IT_number 57
_space_group_name_Hall '-P 2c 2b'
loop_
_atom_site_label
_atom_site_fract_x
_atom_site_fract_y
_atom_site_fract_z
_atom_site_occupancy
Cd1 0.115 0.087 0.250 1
Sb1 0.374 0.567 0.250 1
Pd1 0.148 0.750 0.000 1
Pd2 0.386 0.250 0.000 1
```

Principal peaks in the range 2θ from 15° to 90°, in order of rising 2θ:
2θ 25.4, I 18, hkl 2 1 0
2θ 29.2, I 45, hkl 0 2 1
2θ 29.9, I 98, hkl 2 1 1
2θ 40.2, I 62, hkl 0 2 2
2θ 40.7, I 100, hkl 2 1 2
2θ 43.8, I 76, hkl 2 3 0
2θ 45.1, I 33, hkl 4 0 0
2θ 54.7, I 14, hkl 4 2 1
2θ 54.8, I 17, hkl 2 1 3
2θ 62.0, I 29, hkl 4 2 2
2θ 77.7, I 18, hkl 2 5 2
2θ 82.0, I 24, hkl 2 3 4

=====

# 5
For Cd2SbPd2, the PBE geometry in Alexandria gives the calculated X-ray powder pattern in this record (a wavelength of 1.5418 Å).
Intensities are scaled so that the largest is 100.

Structure:
```
data_Cd2SbPd2
_chemical_formula_sum 'Cd4 Sb2 Pd4'
_cell_length_a 4.655
_cell_length_b 4.570
_cell_length_c 9.746
_cell_angle_alpha 90.00
_cell_angle_beta 90.03
_cell_angle_gamma 90.00
_space_group_name_H-M_alt 'P 1 21/m 1'
_space_group_IT_number 11
_space_group_name_Hall '-P 2yb'
loop_
_atom_site_label
_atom_site_fract_x
_atom_site_fract_y
_atom_site_fract_z
_atom_site_occupancy
Cd1 0.250 0.250 0.005 1
Cd2 0.250 0.250 0.320 1
Sb1 0.251 0.250 0.671 1
Pd1 0.249 0.750 0.496 1
Pd2 0.250 0.750 0.829 1
```

Principal peaks in the range 2θ from 15° to 90°, in order of rising 2θ:
2θ 21.2, I 7, hkl 1 0 1
2θ 21.5, I 7, hkl 0 1 1
2θ 27.3, I 7, hkl 1 1 0
2θ 38.7, I 26, hkl 2 0 0
2θ 39.1, I 100, hkl 1 1 3
2θ 39.4, I 25, hkl 0 2 0
2θ 56.4, I 17, hkl 2 2 0
2θ 56.7, I 8, hkl 0 0 6
2θ 70.3, I 17, hkl 3 1 3
2θ 70.7, I 8, hkl 2 0 6
2θ 71.3, I 16, hkl 1 3 -3
2θ 71.3, I 8, hkl 1 3 3

=====

# 6
For Cd2Sb5Pd12, the PBE geometry in Alexandria gives the calculated X-ray powder pattern in this record (a wavelength of 1.5418 Å).
Intensities are scaled so that the largest is 100.

Structure:
```
data_Cd2Sb5Pd12
_chemical_formula_sum 'Cd4 Sb10 Pd24'
_cell_length_a 15.224
_cell_length_b 5.649
_cell_length_c 8.955
_cell_angle_alpha 90.00
_cell_angle_beta 106.50
_cell_angle_gamma 90.00
_space_group_name_H-M_alt 'C 1 2/m 1'
_space_group_IT_number 12
_space_group_name_Hall '-C 2y'
loop_
_atom_site_label
_atom_site_fract_x
_atom_site_fract_y
_atom_site_fract_z
_atom_site_occupancy
Cd1 0.000 0.242 0.000 1
Sb1 0.000 0.000 0.500 1
Sb2 0.152 0.500 0.849 1
Sb3 0.187 0.500 0.352 1
Pd1 0.013 0.500 0.341 1
Pd2 0.100 0.000 0.294 1
Pd3 0.156 0.252 0.595 1
Pd4 0.192 0.244 0.107 1
```

Principal peaks in the range 2θ from 15° to 90°, in order of rising 2θ:
2θ 24.1, I 28, hkl 3 1 0
2θ 25.4, I 36, hkl 1 1 -2
2θ 35.3, I 22, hkl 3 1 -3
2θ 36.9, I 22, hkl 2 0 3
2θ 36.9, I 51, hkl 6 0 0
2θ 38.2, I 100, hkl 2 2 -2
2θ 40.3, I 59, hkl 2 0 -4
2θ 40.6, I 21, hkl 5 1 -3
2θ 42.1, I 58, hkl 2 2 2
2θ 42.2, I 41, hkl 4 2 -2
2θ 43.6, I 33, hkl 4 2 1
2θ 45.5, I 23, hkl 7 1 -2

=====

# 7
For Cd3SbPd4, the PBE geometry in Alexandria gives the calculated X-ray powder pattern in this record (a wavelength of 1.5418 Å).
Intensities are scaled so that the largest is 100.

Structure:
```
data_Cd3SbPd4
_chemical_formula_sum 'Cd12 Sb4 Pd16'
_cell_length_a 6.496
_cell_length_b 6.795
_cell_length_c 12.966
_cell_angle_alpha 90.00
_cell_angle_beta 90.00
_cell_angle_gamma 90.00
_space_group_name_H-M_alt 'F m m m'
_space_group_IT_number 69
_space_group_name_Hall '-F 2 2'
loop_
_atom_site_label
_atom_site_fract_x
_atom_site_fract_y
_atom_site_fract_z
_atom_site_occupancy
Cd1 0.000 0.000 0.000 1
Cd2 0.000 0.000 0.247 1
Sb1 0.000 0.000 0.500 1
Pd1 0.250 0.250 0.121 1
```

Principal peaks in the range 2θ from 15° to 90°, in order of rising 2θ:
2θ 38.4, I 100, hkl 2 2 0
2θ 39.3, I 47, hkl 2 0 4
2θ 54.0, I 9, hkl 0 4 0
2θ 56.7, I 8, hkl 4 0 0
2θ 56.8, I 8, hkl 0 0 8
2θ 68.8, I 17, hkl 2 4 4
2θ 70.5, I 16, hkl 4 2 4
2θ 70.6, I 15, hkl 2 2 8
2θ 82.1, I 5, hkl 4 4 0
2θ 82.2, I 5, hkl 0 4 8
2θ 84.4, I 5, hkl 4 0 8

=====

# 8
For Sr2CdSbPd6, the PBE geometry in Alexandria gives the calculated X-ray powder pattern in this record (a wavelength of 1.5418 Å).
Intensities are scaled so that the largest is 100.

Structure:
```
data_Sr2CdSbPd6
_chemical_formula_sum 'Sr2 Cd1 Sb1 Pd6'
_cell_length_a 5.656
_cell_length_b 6.860
_cell_length_c 7.081
_cell_angle_alpha 80.17
_cell_angle_beta 66.52
_cell_angle_gamma 65.71
_space_group_name_H-M_alt 'P -1'
_space_group_IT_number 2
_space_group_name_Hall '-P 1'
loop_
_atom_site_label
_atom_site_fract_x
_atom_site_fract_y
_atom_site_fract_z
_atom_site_occupancy
Sr1 0.028 0.229 0.214 1
Cd1 0.500 0.500 0.000 1
Sb1 0.500 0.000 0.500 1
Pd1 0.005 0.238 0.740 1
Pd2 0.333 0.418 0.415 1
Pd3 0.481 0.762 0.261 1
```

Principal peaks in the range 2θ from 15° to 90°, in order of rising 2θ:
2θ 18.5, I 34, hkl 1 1 1
2θ 19.8, I 38, hkl 0 1 -1
2θ 26.9, I 58, hkl 1 1 -1
2θ 27.5, I 55, hkl 1 -1 1
2θ 37.5, I 100, hkl 2 2 2
2θ 37.6, I 66, hkl 2 2 0
2θ 38.8, I 63, hkl 1 0 -2
2θ 39.9, I 67, hkl 0 2 2
2θ 40.0, I 40, hkl 1 3 1
2θ 40.2, I 89, hkl 0 2 -2
2θ 42.4, I 50, hkl 2 1 -1
2θ 43.1, I 47, hkl 2 -1 1